(1)
TlAu17: theoretical powder XRD pattern (Cu Kα (weighted mean of Kα1 and Kα2)), based on a PBE-relaxed structure.
No peak broadening, texture or thermal motion is included.

Crystal structure
a b c (Å): 5.037 5.793 32.829
angles (deg): 90.00 90.12 90.00
Space group P2_1/m (No. 11)
Inequivalent atoms, fractional coordinates:
Tl: 0.172 0.250 0.170 x2
Au: 0.000 0.000 0.500 x2
Au: 0.000 0.003 0.276 x4
Au: 0.164 0.750 0.425 x2
Au: 0.166 0.250 0.425 x2
Au: 0.170 0.250 0.649 x2
Au: 0.170 0.750 0.649 x2
Au: 0.171 0.750 0.202 x2
Au: 0.329 0.501 0.798 x4
Au: 0.331 0.000 0.351 x4
Au: 0.335 0.000 0.574 x4
Au: 0.498 0.250 0.275 x2
Au: 0.498 0.750 0.277 x2
Au: 0.500 0.250 0.500 x2

Principal peaks in the range 10° ≤ 2θ ≤ 90°, low angle first:
2θ (°)  I/Imax
35.5  50
37.4  48
37.4  97
38.3  37
38.4  100
42.2  26
43.6  36
43.8  71
63.0  34
64.1  36


(2)
Zr2TlAu: theoretical powder XRD pattern (Cu Kα (weighted mean of Kα1 and Kα2)), based on a PBE-relaxed structure.
No peak broadening, texture or thermal motion is included.

Crystal structure
a b c (Å): 7.047 7.047 7.047
angles (deg): 90.00 90.00 90.00
Space group F-43m (No. 216)
Inequivalent atoms, fractional coordinates:
Zr: 0.000 0.000 0.000 x4
Zr: 0.250 0.250 0.250 x4
Tl: 0.000 0.000 0.500 x4
Au: 0.250 0.250 0.750 x4

Principal peaks in the range 10° ≤ 2θ ≤ 90°, low angle first:
2θ (°)  I/Imax
21.8  14
36.0  100
42.5  9
51.9  18
57.0  4
64.8  36
69.3  3
76.5  11
80.7  3
87.6  17


Copy entry 1 word for word.
TlAu17: theoretical powder XRD pattern (Cu Kα (weighted mean of Kα1 and Kα2)), based on a PBE-relaxed structure.
No peak broadening, texture or thermal motion is included.

Crystal structure
a b c (Å): 5.037 5.793 32.829
angles (deg): 90.00 90.12 90.00
Space group P2_1/m (No. 11)
Inequivalent atoms, fractional coordinates:
Tl: 0.172 0.250 0.170 x2
Au: 0.000 0.000 0.500 x2
Au: 0.000 0.003 0.276 x4
Au: 0.164 0.750 0.425 x2
Au: 0.166 0.250 0.425 x2
Au: 0.170 0.250 0.649 x2
Au: 0.170 0.750 0.649 x2
Au: 0.171 0.750 0.202 x2
Au: 0.329 0.501 0.798 x4
Au: 0.331 0.000 0.351 x4
Au: 0.335 0.000 0.574 x4
Au: 0.498 0.250 0.275 x2
Au: 0.498 0.750 0.277 x2
Au: 0.500 0.250 0.500 x2

Principal peaks in the range 10° ≤ 2θ ≤ 90°, low angle first:
2θ (°)  I/Imax
35.5  50
37.4  48
37.4  97
38.3  37
38.4  100
42.2  26
43.6  36
43.8  71
63.0  34
64.1  36